Entry 1:
Computed powder X-ray diffraction pattern
Compound: Ce5HgPt3
Radiation: CuKα
Structure: a structure optimized by DFT (GGA-PBE)

Top 10 peaks for 2θ = 10–90°, in order of falling intensity:
2θ = 33.6°, rel. 100
2θ = 36.9°, rel. 68
2θ = 62.2°, rel. 29
2θ = 50.7°, rel. 27
2θ = 75.2°, rel. 19
2θ = 60.0°, rel. 18
2θ = 82.3°, rel. 13
2θ = 70.5°, rel. 11
2θ = 46.5°, rel. 9
2θ = 65.0°, rel. 5

a b c (Å): 9.252 9.252 5.736
angles (deg): 90.00 90.00 120.00
Atoms (fractional coordinates):
Ce (0.000, 0.325, 0.250)
Ce (0.000, 0.675, 0.750)
Ce (0.325, 0.000, 0.250)
Ce (0.325, 0.325, 0.750)
Ce (0.333, 0.667, 0.000)
Ce (0.333, 0.667, 0.500)
Ce (0.667, 0.333, 0.000)
Ce (0.667, 0.333, 0.500)
Ce (0.675, 0.000, 0.750)
Ce (0.675, 0.675, 0.250)
Hg (0.000, 0.000, 0.000)
Hg (0.000, 0.000, 0.500)
Pt (0.000, 0.345, 0.750)
Pt (0.000, 0.655, 0.250)
Pt (0.345, 0.000, 0.750)
Pt (0.345, 0.345, 0.250)
Pt (0.655, 0.000, 0.250)
Pt (0.655, 0.655, 0.750)



Entry 2:
Computed powder X-ray diffraction pattern
Compound: Ce4HgPt
Radiation: CuKα
Structure: a structure optimized by DFT (GGA-PBE)

Top 10 peaks for 2θ = 10–90°, in order of falling intensity:
2θ = 23.5°, rel. 100
2θ = 32.2°, rel. 74
2θ = 36.6°, rel. 74
2θ = 36.8°, rel. 61
2θ = 39.7°, rel. 33
2θ = 42.9°, rel. 28
2θ = 20.6°, rel. 28
2θ = 40.1°, rel. 26
2θ = 40.4°, rel. 24
2θ = 60.1°, rel. 18

a b c (Å): 8.206 8.206 7.144
angles (deg): 110.33 110.33 112.74
Atoms (fractional coordinates):
Ce (0.023, 0.537, 0.718)
Ce (0.217, 0.286, 0.250)
Ce (0.286, 0.217, 0.750)
Ce (0.463, 0.977, 0.782)
Ce (0.537, 0.023, 0.218)
Ce (0.714, 0.783, 0.250)
Ce (0.783, 0.714, 0.750)
Ce (0.977, 0.463, 0.282)
Hg (0.140, 0.860, 0.250)
Hg (0.860, 0.140, 0.750)
Pt (0.403, 0.597, 0.750)
Pt (0.597, 0.403, 0.250)